The following is a simulated XRD peak list of MgNbCoP2. It was derived from a DFT-relaxed cell (PBE, Alexandria), using Cu Ka.
Lines closer than 0.1° are merged.

Most intense lines, 10 to 90 degrees two-theta, low angle first:
2theta	I (rel.)
16.97	20
18.69	21
25.35	100
26.55	37
34.33	38
37.89	58
43.92	19
46.14	38
52.05	44
66.17	21

Structure:
Lattice parameters (Å, degrees): 4.7486 4.7486 5.2237 90.00 90.00 90.00
Space group P4/mmm (No. 123)
Unique sites:
Mg 0.0000 0.0000 0.0000
Nb 0.0000 0.0000 0.5000
Co 0.5000 0.5000 0.0000
P 0.0000 0.5000 0.5000

=====

The following is a simulated XRD peak list of Na5B7C3. It was derived from a DFT-relaxed cell (PBE, Alexandria), using Cu Ka.
Lines closer than 0.1° are merged.

Most intense lines, 10 to 90 degrees two-theta, low angle first:
2theta	I (rel.)
34.77	12
36.42	17
40.78	49
41.97	39
42.22	100
56.76	10
63.42	17
76.85	13
78.99	16
81.10	10

Structure:
Lattice parameters (Å, degrees): 2.8090 25.7980 8.6100 90.00 90.00 90.00
Space group Cmcm (No. 63)
Unique sites:
Na 0.0000 0.0000 0.0000
Na 0.0000 0.2004 0.0026
Na 0.0000 0.3994 0.5006
B 0.0000 0.0698 0.7500
B 0.0000 0.1345 0.7500
B 0.0000 0.1362 0.2500
B 0.0000 0.2701 0.7500
B 0.0000 0.3221 0.2500
B 0.0000 0.4581 0.7500
B 0.0000 0.4738 0.2500
C 0.0000 0.0731 0.2500
C 0.0000 0.2619 0.2500
C 0.0000 0.3324 0.7500

=====

The following is a simulated XRD peak list of CrAgPb. It was derived from a DFT-relaxed cell (PBE, Alexandria), using Cu Ka.
Lines closer than 0.1° are merged.

Most intense lines, 10 to 90 degrees two-theta, low angle first:
2theta	I (rel.)
21.12	49
28.20	27
35.50	95
37.02	100
47.18	42
52.23	31
62.74	16
65.74	31
66.72	17
71.11	15

Structure:
Lattice parameters (Å, degrees): 4.8562 4.8562 3.1648 90.00 90.00 120.00
Space group P3m1 (No. 156)
Unique sites:
Cr 0.0000 0.0000 0.0000
Ag 0.3333 0.6667 0.5748
Pb 0.6667 0.3333 0.4344

=====

The following is a simulated XRD peak list of LaPm5Er. It was derived from a DFT-relaxed cell (PBE, Alexandria), using Cu Ka.
Lines closer than 0.1° are merged.

Most intense lines, 10 to 90 degrees two-theta, low angle first:
2theta	I (rel.)
15.00	100
19.76	42
29.16	50
29.24	49
30.18	54
30.36	53
34.41	26
43.22	20
43.45	20
53.11	19

Structure:
Lattice parameters (Å, degrees): 11.7767 8.9849 5.9232 90.00 90.29 90.00
Space group C2/m (No. 12)
Unique sites:
La 0.0000 0.0000 0.0000
Pm 0.0000 0.0000 0.5000
Pm 0.0000 0.3148 0.0000
Pm 0.2466 0.5000 0.9922
Er 0.0000 0.5000 0.5000

=====

The following is a simulated XRD peak list of Li2GaGeO4. It was derived from a DFT-relaxed cell (PBE, Alexandria), using Cu Ka.
Lines closer than 0.1° are merged.

Most intense lines, 10 to 90 degrees two-theta, low angle first:
2theta	I (rel.)
21.69	100
34.06	87
35.96	22
39.04	9
45.10	23
54.12	16
56.41	15
57.52	28
67.56	21
69.56	10

Structure:
Lattice parameters (Å, degrees): 4.6138 4.6138 8.9094 90.00 90.00 90.00
Space group I-4 (No. 82)
Unique sites:
Li 0.0000 0.0000 0.0000
Li 0.0000 0.5000 0.2500
Ga 0.0000 0.5000 0.7500
Ge 0.0000 0.0000 0.5000
O 0.2232 0.7544 0.6235

=====

The following is a simulated XRD peak list of CsNiBr5. It was derived from a DFT-relaxed cell (PBE, Alexandria), using Cu Ka.
Lines closer than 0.1° are merged.

Most intense lines, 10 to 90 degrees two-theta, low angle first:
2theta	I (rel.)
14.94	26
16.74	53
17.00	37
23.95	32
27.85	100
28.82	28
30.13	53
33.84	35
36.92	43
50.97	33

Structure:
Lattice parameters (Å, degrees): 7.6129 10.5945 7.1582 90.00 90.00 90.00
Space group Imm2 (No. 44)
Unique sites:
Cs 0.0000 0.0000 0.0000
Ni 0.0000 0.5000 0.7233
Br 0.0000 0.2795 0.6999
Br 0.0000 0.5000 0.3912
Br 0.2417 0.5000 0.9334

=====

The following is a simulated XRD peak list of RbTmZn2F8. It was derived from a DFT-relaxed cell (PBE, Alexandria), using Cu Ka.
Lines closer than 0.1° are merged.

Most intense lines, 10 to 90 degrees two-theta, low angle first:
2theta	I (rel.)
10.27	15
23.72	100
33.70	40
33.89	32
41.63	20
48.54	14
54.59	19
54.85	27
60.28	13
60.40	13

Structure:
Lattice parameters (Å, degrees): 5.3188 5.3188 25.8472 90.00 90.00 120.00
Space group R32 (No. 155, hexagonal axes)
Unique sites:
Rb 0.0000 0.0000 0.0000
Tm 0.0000 0.0000 0.5000
Zn 0.0000 0.0000 0.2514
F 0.0000 0.0000 0.3232
F 0.0122 0.3606 0.1139

=====

The following is a simulated XRD peak list of AgPd8Se2. It was derived from a DFT-relaxed cell (PBE, Alexandria), using Cu Ka.
Lines closer than 0.1° are merged.

Most intense lines, 10 to 90 degrees two-theta, low angle first:
2theta	I (rel.)
34.04	28
35.55	12
37.25	42
38.15	12
38.71	21
39.24	100
39.94	82
42.45	22
44.92	34
47.21	13

Structure:
Lattice parameters (Å, degrees): 4.9221 5.8958 7.2585 109.87 104.99 101.25
Space group P1 (No. 1)
Unique sites:
Ag 0.0000 0.0000 0.0000
Pd 0.1977 0.9055 0.3505
Pd 0.2378 0.4547 0.3956
Pd 0.3654 0.6485 0.9992
Pd 0.3950 0.9280 0.7662
Pd 0.6273 0.1619 0.2329
Pd 0.8342 0.4303 0.0002
Pd 0.8435 0.0608 0.6042
Pd 0.8464 0.5561 0.6488
Se 0.3789 0.3061 0.6831
Se 0.6935 0.6239 0.3164

=====

The following is a simulated XRD peak list of Tb6Er5Pu. It was derived from a DFT-relaxed cell (PBE, Alexandria), using Cu Ka.
Lines closer than 0.1° are merged.

Most intense lines, 10 to 90 degrees two-theta, low angle first:
2theta	I (rel.)
31.08	100
31.21	33
36.08	67
51.86	24
52.03	24
61.75	43
61.94	14
64.80	12
84.74	12
87.51	11

Structure:
Lattice parameters (Å, degrees): 6.1081 10.5780 11.6412 90.00 100.07 90.00
Space group C2/m (No. 12)
Unique sites:
Tb 0.2475 0.0000 0.2515
Tb 0.2476 0.1650 0.7485
Er 0.0000 0.1671 0.0000
Er 0.0000 0.3334 0.5000
Er 0.0000 0.5000 0.0000
Pu 0.0000 0.0000 0.5000

=====

The following is a simulated XRD peak list of RbHf2I8. It was derived from a DFT-relaxed cell (PBE, Alexandria), using Cu Ka.
Lines closer than 0.1° are merged.

Most intense lines, 10 to 90 degrees two-theta, low angle first:
2theta	I (rel.)
16.53	71
18.11	73
19.11	77
24.61	75
31.02	37
33.41	100
36.68	49
45.36	29
46.23	59
53.46	23

Structure:
Lattice parameters (Å, degrees): 10.7275 10.7275 5.7667 90.00 90.00 120.00
Space group P-3 (No. 147)
Unique sites:
Rb 0.0000 0.0000 0.0000
Hf 0.3333 0.6667 0.2570
I 0.1843 0.3713 0.2657
I 0.3333 0.6667 0.7608

=====

The following is a simulated XRD peak list of Nd2Co3C2. It was derived from a DFT-relaxed cell (PBE, Alexandria), using Cu Ka.
Lines closer than 0.1° are merged.

Most intense lines, 10 to 90 degrees two-theta, low angle first:
2theta	I (rel.)
28.88	23
29.31	41
29.88	52
33.50	54
37.70	100
38.26	39
39.32	35
42.50	22
44.86	28
52.24	25

Structure:
Lattice parameters (Å, degrees): 9.8363 3.5024 6.3820 90.00 114.62 90.00
Space group C2/m (No. 12)
Unique sites:
Nd 0.1173 0.0000 0.2861
Co 0.0000 0.5000 0.5000
Co 0.1665 0.5000 0.9017
C 0.1791 0.0000 0.7761

=====

The following is a simulated XRD peak list of Rb2MgGa3Sn4. It was derived from a DFT-relaxed cell (PBE, Alexandria), using Cu Ka.
Lines closer than 0.1° are merged.

Most intense lines, 10 to 90 degrees two-theta, low angle first:
2theta	I (rel.)
29.14	60
29.60	100
36.01	81
40.15	46
42.83	31
46.97	32
51.84	29
57.16	26
60.83	26
67.52	20

Structure:
Lattice parameters (Å, degrees): 4.9886 4.9886 11.6516 90.00 90.00 90.00
Space group P-4m2 (No. 115)
Unique sites:
Rb 0.0000 0.5000 0.2494
Mg 0.5000 0.5000 0.0000
Ga 0.0000 0.0000 0.0000
Ga 0.0000 0.5000 0.6294
Sn 0.0000 0.0000 0.5000
Sn 0.0000 0.5000 0.8673
Sn 0.5000 0.5000 0.5000